The following is a computed powder XRD pattern of Y6Er5Tm2. It was derived from the GGA-PBE geometry in Alexandria, using Cu Kα (weighted mean of Kα1 and Kα2).
Lines closer than 0.1° are merged.

The 10 most intense peaks (15° ≤ 2θ ≤ 90°), sorted by position:
h k l, two_theta, Rel. int.
1 6 0, 27.69, 27.5
0 4 1, 30.81, 33.0
4 1 0, 31.20, 53.7
1 4 1, 31.77, 64.6
1 7 0, 32.11, 100.0
2 3 1, 32.42, 95.9
2 4 1, 34.56, 34.2
3 3 1, 36.88, 36.4
1 11 1, 57.21, 22.5
1 7 2, 61.89, 32.1

Atomic structure:
```
data_Y6Er5Tm2
_symmetry_space_group_name_H-M 'P b a m'
_symmetry_Int_Tables_number 55
_cell_length_a 11.5852
_cell_length_b 20.1224
_cell_length_c 3.5564
_cell_angle_alpha 90.00
_cell_angle_beta 90.00
_cell_angle_gamma 90.00
loop_
_symmetry_equiv_pos_as_xyz
'x,y,z'
'-x,-y,-z'
'-x,-y,z'
'x,y,-z'
'x+1/2,-y+1/2,-z'
'-x+1/2,y+1/2,z'
'-x+1/2,y+1/2,-z'
'x+1/2,-y+1/2,z'
loop_
_atom_site_label
_atom_site_type_symbol
_atom_site_fract_x
_atom_site_fract_y
_atom_site_fract_z
Y1 Y 0.0575 0.0816 0.0000
Y2 Y 0.0857 0.3693 0.0000
Y3 Y 0.1719 0.6364 0.5000
Er1 Er 0.0000 0.5000 0.5000
Er2 Er 0.0902 0.2279 0.5000
Er3 Er 0.1986 0.9501 0.5000
Tm1 Tm 0.1654 0.7912 0.0000
```


The following is a computed powder XRD pattern of Tb3Tl2Hg6. It was derived from the GGA-PBE geometry in Alexandria, using Cu Kα (weighted mean of Kα1 and Kα2).
Lines closer than 0.1° are merged.

The 10 most intense peaks (15° ≤ 2θ ≤ 90°), sorted by position:
h k l, two_theta, Rel. int.
1 1 2, 28.31, 72.1
0 0 10, 29.25, 24.4
1 1 6, 32.90, 59.1
1 1 8, 36.50, 100.0
2 0 0, 39.56, 70.6
2 0 10, 49.95, 22.7
2 0 12, 54.03, 20.1
2 2 0, 57.19, 24.4
1 1 20, 67.94, 26.0
3 1 8, 69.77, 31.9

Atomic structure:
```
data_Tb3Tl2Hg6
_symmetry_space_group_name_H-M 'I 4/m m m'
_symmetry_Int_Tables_number 139
_symmetry_space_group_name_Hall '-I 4 2'
_cell_length_a 4.5560
_cell_length_b 4.5560
_cell_length_c 30.5346
_cell_angle_alpha 90.00
_cell_angle_beta 90.00
_cell_angle_gamma 90.00
loop_
_atom_site_label
_atom_site_type_symbol
_atom_site_fract_x
_atom_site_fract_y
_atom_site_fract_z
Tb1 Tb 0.0000 0.0000 0.0000
Tb2 Tb 0.0000 0.0000 0.1481
Tl1 Tl 0.0000 0.0000 0.3514
Hg1 Hg 0.0000 0.0000 0.2491
Hg2 Hg 0.0000 0.5000 0.0709
```


The following is a computed powder XRD pattern of Sr2Cd3Ga5. It was derived from the GGA-PBE geometry in Alexandria, using Cu Kα (weighted mean of Kα1 and Kα2).
Lines closer than 0.1° are merged.

The 10 most intense peaks (15° ≤ 2θ ≤ 90°), sorted by position:
h k l, two_theta, Rel. int.
1 0 3, 30.28, 45.5
1 1 2, 31.94, 100.0
2 0 0, 39.94, 66.0
1 1 4, 41.89, 39.4
1 0 5, 43.56, 29.4
2 1 3, 50.93, 21.8
2 2 0, 57.76, 21.6
2 1 5, 60.57, 21.4
3 1 2, 67.53, 21.8
3 1 4, 73.86, 13.6

Atomic structure:
```
data_Sr2Cd3Ga5
_symmetry_space_group_name_H-M 'P -4 m 2'
_symmetry_Int_Tables_number 115
_cell_length_a 4.5148
_cell_length_b 4.5148
_cell_length_c 11.7011
_cell_angle_alpha 90.00
_cell_angle_beta 90.00
_cell_angle_gamma 90.00
loop_
_symmetry_equiv_pos_as_xyz
'x,y,z'
'y,-x,-z'
'-x,-y,z'
'-y,x,-z'
'-x,y,z'
'-y,-x,-z'
'x,-y,z'
'y,x,-z'
loop_
_atom_site_label
_atom_site_type_symbol
_atom_site_fract_x
_atom_site_fract_y
_atom_site_fract_z
Sr1 Sr 0.0000 0.5000 0.2311
Cd1 Cd 0.0000 0.5000 0.6472
Cd2 Cd 0.5000 0.5000 0.5000
Ga1 Ga 0.0000 0.0000 0.0000
Ga2 Ga 0.0000 0.0000 0.5000
Ga3 Ga 0.0000 0.5000 0.8765
Ga4 Ga 0.5000 0.5000 0.0000
```


The following is a computed powder XRD pattern of La2PrIr2. It was derived from the GGA-PBE geometry in Alexandria, using Cu Kα (weighted mean of Kα1 and Kα2).
Lines closer than 0.1° are merged.

The 10 most intense peaks (15° ≤ 2θ ≤ 90°), sorted by position:
h k l, two_theta, Rel. int.
1 0 0, 15.12, 35.0
1 1 2, 31.47, 100.0
0 1 3, 32.02, 89.4
2 0 -2, 32.44, 75.7
2 1 1, 38.74, 80.4
1 1 -4, 40.12, 80.1
0 2 0, 40.34, 60.4
1 0 5, 47.29, 36.7
2 2 -2, 52.68, 38.7
1 2 5, 63.86, 30.0

Atomic structure:
```
data_La2PrIr2
_symmetry_space_group_name_H-M 'P 1 21/m 1'
_symmetry_Int_Tables_number 11
_cell_length_a 5.9335
_cell_length_b 4.4719
_cell_length_c 10.8739
_cell_angle_alpha 90.00
_cell_angle_beta 99.00
_cell_angle_gamma 90.00
loop_
_symmetry_equiv_pos_as_xyz
'x,y,z'
'-x,-y,-z'
'-x,y+1/2,-z'
'x,-y+1/2,z'
loop_
_atom_site_label
_atom_site_type_symbol
_atom_site_fract_x
_atom_site_fract_y
_atom_site_fract_z
La1 La 0.1128 0.2500 0.3843
La2 La 0.2319 0.7500 0.9667
Pr1 Pr 0.4572 0.2500 0.7068
Ir1 Ir 0.3073 0.2500 0.1337
Ir2 Ir 0.3353 0.7500 0.5294
```


The following is a computed powder XRD pattern of NdSmLuTl. It was derived from the GGA-PBE geometry in Alexandria, using Cu Kα (weighted mean of Kα1 and Kα2).
Lines closer than 0.1° are merged.

The 9 most intense peaks (15° ≤ 2θ ≤ 90°), sorted by position:
h k l, two_theta, Rel. int.
2 0 0, 22.72, 1.6
2 2 0, 32.35, 100.0
2 2 2, 39.90, 0.5
4 0 0, 46.40, 18.5
4 2 0, 52.27, 0.8
4 2 2, 57.70, 38.9
4 4 0, 67.72, 12.0
6 2 0, 77.06, 16.8
4 4 4, 86.06, 4.3

Atomic structure:
```
data_NdSmLuTl
_symmetry_space_group_name_H-M 'F -4 3 m'
_symmetry_Int_Tables_number 216
_symmetry_space_group_name_Hall 'F -4 2 3'
_cell_length_a 7.8274
_cell_length_b 7.8274
_cell_length_c 7.8274
_cell_angle_alpha 90.00
_cell_angle_beta 90.00
_cell_angle_gamma 90.00
loop_
_atom_site_label
_atom_site_type_symbol
_atom_site_fract_x
_atom_site_fract_y
_atom_site_fract_z
Nd1 Nd 0.0000 0.0000 0.0000
Sm1 Sm 0.0000 0.0000 0.5000
Lu1 Lu 0.2500 0.2500 0.7500
Tl1 Tl 0.2500 0.2500 0.2500
```


The following is a computed powder XRD pattern of CsPtPbF6. It was derived from the GGA-PBE geometry in Alexandria, using Cu Kα (weighted mean of Kα1 and Kα2).
Lines closer than 0.1° are merged.

The 10 most intense peaks (15° ≤ 2θ ≤ 90°), sorted by position:
h k l, two_theta, Rel. int.
1 0 0, 16.46, 100.0
1 0 -1, 22.93, 94.3
1 -1 0, 23.54, 82.3
1 1 1, 23.67, 98.6
0 1 -1, 27.94, 71.4
0 1 2, 28.51, 71.1
0 2 1, 29.76, 61.8
1 0 2, 36.30, 53.8
1 2 0, 37.51, 49.4
2 1 2, 44.38, 31.5

Atomic structure:
```
data_CsPtPbF6
_symmetry_space_group_name_H-M 'P 1'
_symmetry_Int_Tables_number 1
_cell_length_a 5.3855
_cell_length_b 6.0060
_cell_length_c 6.2768
_cell_angle_alpha 62.70
_cell_angle_beta 90.00
_cell_angle_gamma 89.69
loop_
_symmetry_equiv_pos_as_xyz
'x,y,z'
loop_
_atom_site_label
_atom_site_type_symbol
_atom_site_fract_x
_atom_site_fract_y
_atom_site_fract_z
Cs1 Cs 0.0000 0.0000 0.0000
Pt1 Pt 0.6258 0.6657 0.6714
Pb1 Pb 0.5181 0.3432 0.3215
F1 F 0.4202 0.3723 0.8887
F2 F 0.4283 0.7302 0.3247
F3 F 0.4440 0.8962 0.7646
F4 F 0.8116 0.4380 0.5662
F5 F 0.8278 0.9707 0.4660
F6 F 0.8305 0.5112 0.0535
```